Entry 1:
Calculated PXRD pattern of CaMn2O4 for Cu Ka, from a crystal structure in the Materials Project, relaxed with PBE+U.

Structural model:
```
data_CaMn2O4
_chemical_formula_sum 'Ca6 Mn12 O24'
_space_group_name_H-M_alt 'P 1'
_space_group_IT_number 1
_space_group_name_Hall 'P 1'
_cell_length_a 6.273
_cell_length_b 6.329
_cell_length_c 15.342
_cell_angle_alpha 90.25
_cell_angle_beta 91.00
_cell_angle_gamma 118.86
loop_
_atom_site_label
_atom_site_type_symbol
_atom_site_fract_x
_atom_site_fract_y
_atom_site_fract_z
_atom_site_occupancy
Ca1 Ca 0.000 0.000 0.000 1
Ca2 Ca 0.008 0.006 0.373 1
Ca3 Ca 0.157 0.323 0.830 1
Ca4 Ca 0.311 0.644 0.660 1
Ca5 Ca 0.486 0.985 0.496 1
Ca6 Ca 0.825 0.660 0.166 1
Mn1 Mn 0.156 0.823 0.830 1
Mn2 Mn 0.302 0.632 0.290 1
Mn3 Mn 0.330 0.165 0.167 1
Mn4 Mn 0.346 0.687 0.042 1
Mn5 Mn 0.493 0.487 0.495 1
Mn6 Mn 0.645 0.303 0.950 1
Mn7 Mn 0.655 0.321 0.332 1
Mn8 Mn 0.656 0.823 0.830 1
Mn9 Mn 0.667 0.342 0.711 1
Mn10 Mn 0.823 0.161 0.166 1
Mn11 Mn 0.968 0.960 0.620 1
Mn12 Mn 0.979 0.479 0.493 1
O1 O 0.013 0.537 0.756 1
O2 O 0.022 0.040 0.229 1
O3 O 0.119 0.311 0.563 1
O4 O 0.122 0.777 0.560 1
O5 O 0.189 0.868 0.099 1
O6 O 0.199 0.337 0.094 1
O7 O 0.290 0.609 0.425 1
O8 O 0.300 0.109 0.904 1
O9 O 0.345 0.693 0.904 1
O10 O 0.392 0.222 0.411 1
O11 O 0.475 0.969 0.759 1
O12 O 0.480 0.025 0.257 1
O13 O 0.492 0.449 0.253 1
O14 O 0.509 0.532 0.758 1
O15 O 0.630 0.772 0.566 1
O16 O 0.637 0.290 0.096 1
O17 O 0.677 0.354 0.567 1
O18 O 0.684 0.875 0.094 1
O19 O 0.803 0.115 0.902 1
O20 O 0.812 0.202 0.411 1
O21 O 0.821 0.605 0.408 1
O22 O 0.837 0.676 0.901 1
O23 O 0.934 0.431 0.253 1
O24 O 0.968 0.954 0.757 1
```

Largest 10 diffraction maxima, in order of falling intensity, 10 to 90 degrees two-theta:
2θ 33.3, d 2.693, intensity 100, hkl -2 1 3; 2θ 33.0, d 2.717, intensity 72, hkl 0 2 1; 2θ 33.6, d 2.667, intensity 69, hkl 0 1 5; 2θ 16.9, d 5.236, intensity 48, hkl 0 1 -1; 2θ 33.8, d 2.653, intensity 33, hkl 2 -1 3; 2θ 33.1, d 2.704, intensity 32, hkl 1 0 -5; 2θ 28.1, d 3.175, intensity 32, hkl 0 1 -4; 2θ 33.7, d 2.661, intensity 32, hkl 1 -1 5; 2θ 58.9, d 1.568, intensity 31, hkl 4 -2 0; 2θ 58.1, d 1.588, intensity 31, hkl 0 2 -8

=====

Entry 2:
Calculated PXRD pattern of CaMn2O4 for Cu Ka, from a crystal structure in the Materials Project, relaxed with PBE+U.

Structural model:
```
data_CaMn2O4
_chemical_formula_sum 'Ca8 Mn16 O32'
_space_group_name_H-M_alt 'C 1 2 1'
_space_group_IT_number 5
_space_group_name_Hall 'C 2y'
_cell_length_a 10.926
_cell_length_b 5.656
_cell_length_c 11.745
_cell_angle_alpha 90.00
_cell_angle_beta 90.47
_cell_angle_gamma 90.00
loop_
_atom_site_label
_atom_site_type_symbol
_atom_site_fract_x
_atom_site_fract_y
_atom_site_fract_z
_atom_site_occupancy
Ca1 Ca 0.000 0.000 0.000 1
Ca2 Ca 0.000 0.061 0.500 1
Ca3 Ca 0.247 0.300 0.251 1
Mn1 Mn 0.026 0.789 0.269 1
Mn2 Mn 0.031 0.297 0.773 1
Mn3 Mn 0.222 0.531 0.519 1
Mn4 Mn 0.223 0.540 0.016 1
O1 O 0.087 0.053 0.179 1
O2 O 0.089 0.034 0.680 1
O3 O 0.090 0.538 0.173 1
O4 O 0.096 0.550 0.679 1
O5 O 0.154 0.276 0.928 1
O6 O 0.154 0.793 0.428 1
O7 O 0.163 0.274 0.429 1
O8 O 0.165 0.798 0.926 1
```

Largest 10 diffraction maxima, in order of falling intensity, 10 to 90 degrees two-theta:
2θ 30.4, d 2.936, intensity 100, hkl 0 0 4; 2θ 35.2, d 2.548, intensity 100, hkl 0 2 2; 2θ 22.1, d 4.016, intensity 92, hkl 2 0 -2; 2θ 22.3, d 3.984, intensity 85, hkl 2 0 2; 2θ 49.0, d 1.860, intensity 82, hkl 4 2 2; 2θ 48.8, d 1.867, intensity 72, hkl 4 2 -2; 2θ 57.2, d 1.610, intensity 63, hkl 0 2 6; 2θ 45.1, d 2.008, intensity 37, hkl 4 0 -4; 2θ 32.8, d 2.732, intensity 37, hkl 4 0 0; 2θ 30.2, d 2.958, intensity 36, hkl 3 1 1

=====

Entry 3:
Calculated PXRD pattern of Ca4Mn2O7 for Cu Ka, from a crystal structure in the Materials Project, relaxed with PBE+U.

Structural model:
```
data_Ca4Mn2O7
_chemical_formula_sum 'Ca16 Mn8 O28'
_space_group_name_H-M_alt 'C m c e'
_space_group_IT_number 64
_space_group_name_Hall '-C 2ac 2'
_cell_length_a 12.334
_cell_length_b 5.422
_cell_length_c 10.101
_cell_angle_alpha 90.00
_cell_angle_beta 90.00
_cell_angle_gamma 90.00
loop_
_atom_site_label
_atom_site_type_symbol
_atom_site_fract_x
_atom_site_fract_y
_atom_site_fract_z
_atom_site_occupancy
Ca1 Ca 0.152 0.207 0.125 1
Mn1 Mn 0.000 0.232 0.375 1
O1 O 0.000 0.000 0.000 1
O2 O 0.000 0.087 0.693 1
O3 O 0.161 0.239 0.380 1
```

Largest 10 diffraction maxima, in order of falling intensity, 10 to 90 degrees two-theta:
2θ 32.6, d 2.748, intensity 100, hkl 3 1 2; 2θ 35.6, d 2.525, intensity 57, hkl 0 0 4; 2θ 33.0, d 2.711, intensity 56, hkl 0 2 0; 2θ 44.1, d 2.055, intensity 52, hkl 6 0 0; 2θ 49.3, d 1.848, intensity 43, hkl 0 2 4; 2θ 14.4, d 6.167, intensity 32, hkl 2 0 0; 2θ 68.2, d 1.374, intensity 24, hkl 6 2 4; 2θ 57.8, d 1.594, intensity 22, hkl 6 0 4; 2θ 62.0, d 1.497, intensity 19, hkl 3 1 6; 2θ 56.2, d 1.638, intensity 18, hkl 6 2 0